Record 1
NaYC2O6: simulated powder XRD pattern (Cu Kα), based on a cell relaxed with PBE.
No peak broadening, texture or thermal motion is included.

Lattice parameters (Å, degrees): 7.5607 10.0983 6.9807 90.00 106.95 90.00
Space group C2/c (No. 15)
Symmetry-distinct sites (fractional):
Na: 0.0000 0.0993 0.2500 [4 per cell]
Y: 0.0000 0.4204 0.7500 [4 per cell]
C: 0.2305 0.3552 0.2425 [8 per cell]
O: 0.0854 0.3892 0.0930 [8 per cell]
O: 0.1991 0.0533 0.6292 [8 per cell]
O: 0.2137 0.2652 0.7431 [8 per cell]

Peak list (8 most intense, 2θ from 10° to 90°, in order of rising 2θ)
- 15.07°, rel. 100
- 17.57°, rel. 25
- 26.70°, rel. 58
- 27.42°, rel. 20
- 30.17°, rel. 74
- 43.56°, rel. 20
- 44.48°, rel. 18
- 44.87°, rel. 17



Record 2
Pr3Ho4Tm8: simulated powder XRD pattern (Cu Kα), based on a cell relaxed with PBE.
No peak broadening, texture or thermal motion is included.

Lattice parameters (Å, degrees): 13.2989 12.8412 6.6861 90.00 120.08 90.00
Space group C2/m (No. 12)
Symmetry-distinct sites (fractional):
Pr: 0.0000 0.0000 0.0000 [2 per cell]
Pr: 0.2500 0.2500 0.0000 [4 per cell]
Ho: 0.0000 0.5000 0.0000 [2 per cell]
Ho: 0.0000 0.5000 0.5000 [2 per cell]
Ho: 0.2500 0.2500 0.5000 [4 per cell]
Tm: 0.0000 0.1381 0.5000 [4 per cell]
Tm: 0.0000 0.2480 0.0000 [4 per cell]
Tm: 0.2348 0.0000 0.9708 [4 per cell]
Tm: 0.2381 0.0000 0.4947 [4 per cell]

Peak list (8 most intense, 2θ from 10° to 90°, in order of rising 2θ)
- 27.79°, rel. 36
- 30.94°, rel. 100
- 31.08°, rel. 48
- 31.90°, rel. 30
- 42.06°, rel. 46
- 42.18°, rel. 23
- 55.21°, rel. 18
- 66.67°, rel. 31



Record 3
MnH7Rh5: simulated powder XRD pattern (Cu Kα), based on a cell relaxed with PBE.
No peak broadening, texture or thermal motion is included.

Lattice parameters (Å, degrees): 3.4356 5.6281 11.8487 83.98 89.97 89.74
Space group P-1 (No. 2)
Symmetry-distinct sites (fractional):
Mn: 0.0064 0.0791 0.2411 [2 per cell]
H: 0.0000 0.1985 0.5803 [2 per cell]
H: 0.0042 0.3626 0.3637 [2 per cell]
H: 0.0102 0.3694 0.1231 [2 per cell]
H: 0.0131 0.7393 0.1814 [2 per cell]
H: 0.2662 0.2837 0.9699 [2 per cell]
H: 0.3779 0.3304 0.7012 [2 per cell]
H: 0.4617 0.8454 0.5515 [2 per cell]
Rh: 0.0000 0.0000 0.0000 [1 per cell]
Rh: 0.0000 0.5000 0.5000 [1 per cell]
Rh: 0.4894 0.2184 0.8411 [2 per cell]
Rh: 0.4934 0.6892 0.9009 [2 per cell]
Rh: 0.4973 0.6324 0.6709 [2 per cell]
Rh: 0.4982 0.8652 0.4000 [2 per cell]

Peak list (8 most intense, 2θ from 10° to 90°, in order of rising 2θ)
- 25.93°, rel. 57
- 33.69°, rel. 35
- 37.45°, rel. 32
- 40.33°, rel. 100
- 41.55°, rel. 37
- 41.74°, rel. 33
- 43.14°, rel. 58
- 53.34°, rel. 44



Repeat the first record exactly.
NaYC2O6: simulated powder XRD pattern (Cu Kα), based on a cell relaxed with PBE.
No peak broadening, texture or thermal motion is included.

Lattice parameters (Å, degrees): 7.5607 10.0983 6.9807 90.00 106.95 90.00
Space group C2/c (No. 15)
Symmetry-distinct sites (fractional):
Na: 0.0000 0.0993 0.2500 [4 per cell]
Y: 0.0000 0.4204 0.7500 [4 per cell]
C: 0.2305 0.3552 0.2425 [8 per cell]
O: 0.0854 0.3892 0.0930 [8 per cell]
O: 0.1991 0.0533 0.6292 [8 per cell]
O: 0.2137 0.2652 0.7431 [8 per cell]

Peak list (8 most intense, 2θ from 10° to 90°, in order of rising 2θ)
- 15.07°, rel. 100
- 17.57°, rel. 25
- 26.70°, rel. 58
- 27.42°, rel. 20
- 30.17°, rel. 74
- 43.56°, rel. 20
- 44.48°, rel. 18
- 44.87°, rel. 17